Record 1
The following is a simulated powder XRD pattern of TbSc5Bi4. It was derived from DFT lattice parameters and positions (PBE), using a wavelength of 1.5418 Å.
Lines closer than 0.1° are merged.

Atomic structure:
a b c (Å): 9.9766 10.1893 5.7375
angles (deg): 90.00 90.00 90.00
Space group Cmmm (No. 65)
Symmetry-distinct sites (fractional):
Tb: 0.0000 0.0000 0.0000 [2 per cell]
Sc: 0.0000 0.5000 0.5000 [2 per cell]
Sc: 0.2500 0.2500 0.2495 [8 per cell]
Bi: 0.0000 0.3281 0.0000 [4 per cell]
Bi: 0.1846 0.0000 0.5000 [4 per cell]

Principal peaks in the range 15° ≤ 2θ ≤ 90°, sorted by position:
23.4°, rel. 45, hkl 0 2 1
23.6°, rel. 100, hkl 2 0 1
27.7°, rel. 49, hkl 1 3 0
28.2°, rel. 22, hkl 3 1 0
31.2°, rel. 28, hkl 0 0 2
31.9°, rel. 30, hkl 1 3 1
32.3°, rel. 22, hkl 3 1 1
36.0°, rel. 33, hkl 4 0 0
40.3°, rel. 21, hkl 2 2 2
41.1°, rel. 75, hkl 3 3 1
42.2°, rel. 33, hkl 1 3 2
62.3°, rel. 22, hkl 3 3 3

***

Record 2
The following is a simulated powder XRD pattern of CsAlHg. It was derived from DFT lattice parameters and positions (PBE), using a wavelength of 1.5418 Å.
Lines closer than 0.1° are merged.

Atomic structure:
a b c (Å): 5.1409 4.8124 9.0237
angles (deg): 90.00 94.22 90.00
Space group Pm (No. 6)
Symmetry-distinct sites (fractional):
Cs: 0.0000 0.0000 0.0000 [1 per cell]
Cs: 0.4639 0.5000 0.6891 [1 per cell]
Al: 0.0348 0.5000 0.3250 [1 per cell]
Al: 0.8790 0.0000 0.4617 [1 per cell]
Hg: 0.3738 0.0000 0.3805 [1 per cell]
Hg: 0.5407 0.5000 0.1843 [1 per cell]

Principal peaks in the range 15° ≤ 2θ ≤ 90°, sorted by position:
17.3°, rel. 36, hkl 1 0 0
20.6°, rel. 22, hkl 1 0 1
25.4°, rel. 46, hkl 1 1 0
26.8°, rel. 50, hkl 1 1 -1
27.1°, rel. 100, hkl 0 1 2
27.3°, rel. 37, hkl 1 0 2
31.5°, rel. 37, hkl 1 1 -2
33.2°, rel. 23, hkl 1 1 2
37.4°, rel. 31, hkl 0 2 0
41.8°, rel. 21, hkl 2 1 1
43.6°, rel. 25, hkl 2 1 -2
46.9°, rel. 23, hkl 1 2 2